1.
Simulated powder diffraction line list of PmDyCu2 for Cu Kα (λ = 1.5418 Å), from a cell relaxed with PBE.
Peak positions follow from Bragg's law for the DFT cell and can differ from measured ones.

Peak list (7 most intense, 10 to 80 degrees two-theta, by angle)
2θ (°)  Rel. int.
25.4  18
36.2  100
44.7  5
52.1  17
58.9  8
65.1  35
76.9  11

Atomic structure:
Cell lengths 4.9614, 4.9614, 4.9614 Å; angles 60.00, 60.00, 60.00 degrees
Fractional coordinates of all 4 atoms:
Pm: 0.0000 0.0000 0.0000
Dy: 0.5000 0.5000 0.5000
Cu: 0.2500 0.2500 0.2500
Cu: 0.7500 0.7500 0.7500

2.
Simulated powder diffraction line list of Dy2CuPt for Cu Kα (λ = 1.5418 Å), from a cell relaxed with PBE.
Peak positions follow from Bragg's law for the DFT cell and can differ from measured ones.

Peak list (10 most intense, 10 to 80 degrees two-theta, by angle)
2θ (°)  Rel. int.
22.1  10
25.6  1
36.5  100
43.1  6
52.6  18
57.8  3
59.4  1
65.7  36
70.3  2
77.6  11

Atomic structure:
Cell lengths 4.9204, 4.9204, 4.9204 Å; angles 60.00, 60.00, 60.00 degrees
Fractional coordinates of all 4 atoms:
Dy: 0.2500 0.2500 0.2500
Dy: 0.7500 0.7500 0.7500
Cu: 0.0000 0.0000 0.0000
Pt: 0.5000 0.5000 0.5000

3.
Simulated powder diffraction line list of Dy2CuRh for Cu Kα (λ = 1.5418 Å), from a cell relaxed with PBE.
Peak positions follow from Bragg's law for the DFT cell and can differ from measured ones.

Peak list (9 most intense, 10 to 80 degrees two-theta, by angle)
2θ (°)  Rel. int.
22.3  1
25.8  11
36.8  100
43.5  1
45.5  3
53.1  17
59.9  5
66.4  35
78.4  11

Atomic structure:
Cell lengths 4.8800, 4.8800, 4.8800 Å; angles 60.00, 60.00, 60.00 degrees
Fractional coordinates of all 4 atoms:
Dy: 0.2500 0.2500 0.2500
Dy: 0.7500 0.7500 0.7500
Cu: 0.0000 0.0000 0.0000
Rh: 0.5000 0.5000 0.5000

4.
Simulated powder diffraction line list of DyCuS2 for Cu Kα (λ = 1.5418 Å), from a cell relaxed with PBE.
Peak positions follow from Bragg's law for the DFT cell and can differ from measured ones.

Peak list (10 most intense, 10 to 80 degrees two-theta, by angle)
2θ (°)  Rel. int.
15.6  40
24.4  100
26.1  23
27.5  96
33.4  62
39.1  81
39.3  39
45.8  30
46.5  54
52.6  24

Atomic structure:
Cell lengths 13.4779, 3.9583, 6.2536 Å; angles 90.00, 90.00, 90.00 degrees
Fractional coordinates of all 16 atoms:
Dy: 0.1331 0.2500 0.0023
Dy: 0.3669 0.7500 0.5023
Dy: 0.6331 0.2500 0.4977
Dy: 0.8669 0.7500 0.9977
Cu: 0.0471 0.7500 0.6247
Cu: 0.4529 0.2500 0.1247
Cu: 0.5471 0.7500 0.8753
Cu: 0.9529 0.2500 0.3753
S: 0.0383 0.7500 0.2475
S: 0.2050 0.7500 0.7632
S: 0.2950 0.2500 0.2632
S: 0.4617 0.2500 0.7475
S: 0.5383 0.7500 0.2525
S: 0.7050 0.7500 0.7368
S: 0.7950 0.2500 0.2368
S: 0.9617 0.2500 0.7525

5.
Simulated powder diffraction line list of DyCuS2 for Cu Kα (λ = 1.5418 Å), from a cell relaxed with PBE.
Peak positions follow from Bragg's law for the DFT cell and can differ from measured ones.

Peak list (10 most intense, 10 to 80 degrees two-theta, by angle)
2θ (°)  Rel. int.
15.6  40
24.4  100
26.1  23
27.5  97
33.4  62
39.0  81
39.3  39
45.8  31
46.5  54
52.6  24

Atomic structure:
Cell lengths 3.9606, 6.2577, 13.4761 Å; angles 90.00, 90.00, 90.00 degrees
Fractional coordinates of all 16 atoms:
Dy: 0.2423 0.2483 0.3669
Dy: 0.2577 0.7517 0.8669
Dy: 0.7423 0.2517 0.6331
Dy: 0.7577 0.7483 0.1331
Cu: 0.2269 0.8739 0.5475
Cu: 0.2731 0.1261 0.0475
Cu: 0.7269 0.6261 0.4525
Cu: 0.7731 0.3739 0.9525
S: 0.2396 0.4973 0.5386
S: 0.2430 0.0128 0.7051
S: 0.2570 0.9872 0.2051
S: 0.2604 0.5027 0.0386
S: 0.7396 0.0027 0.4614
S: 0.7430 0.4872 0.2949
S: 0.7570 0.5128 0.7949
S: 0.7604 0.9973 0.9614

6.
Simulated powder diffraction line list of Dy3CuSiS7 for Cu Kα (λ = 1.5418 Å), from a cell relaxed with PBE.
Peak positions follow from Bragg's law for the DFT cell and can differ from measured ones.

Peak list (10 most intense, 10 to 80 degrees two-theta, by angle)
2θ (°)  Rel. int.
18.7  32
23.8  33
26.0  100
27.6  35
31.4  28
36.4  53
37.9  61
41.2  41
42.2  48
48.8  29

Atomic structure:
Cell lengths 9.8871, 9.8871, 5.7032 Å; angles 90.00, 90.00, 120.00 degrees
Fractional coordinates of all 24 atoms:
Dy: 0.1308 0.3573 0.0000
Dy: 0.2266 0.8692 0.0000
Dy: 0.3573 0.2266 0.5000
Dy: 0.6427 0.7734 0.0000
Dy: 0.7734 0.1308 0.5000
Dy: 0.8692 0.6427 0.5000
Cu: 0.0000 0.0000 0.4560
Cu: 0.0000 0.0000 0.9560
Si: 0.3333 0.6667 0.5885
Si: 0.6667 0.3333 0.0885
S: 0.0959 0.2585 0.4730
S: 0.1058 0.5822 0.7378
S: 0.1626 0.9041 0.4730
S: 0.2585 0.1626 0.9730
S: 0.3333 0.6667 0.2178
S: 0.4178 0.5236 0.7378
S: 0.4764 0.8942 0.7378
S: 0.5236 0.1058 0.2378
S: 0.5822 0.4764 0.2378
S: 0.6667 0.3333 0.7178
S: 0.7415 0.8374 0.4730
S: 0.8374 0.0959 0.9730
S: 0.8942 0.4178 0.2378
S: 0.9041 0.7415 0.9730

7.
Simulated powder diffraction line list of Dy3CuSnS7 for Cu Kα (λ = 1.5418 Å), from a cell relaxed with PBE.
Peak positions follow from Bragg's law for the DFT cell and can differ from measured ones.

Peak list (10 most intense, 10 to 80 degrees two-theta, by angle)
2θ (°)  Rel. int.
21.0  17
25.4  100
28.5  19
30.5  12
35.7  30
36.9  51
40.4  17
45.3  16
47.2  22
48.7  24

Atomic structure:
Cell lengths 9.7564, 9.7564, 6.2583 Å; angles 90.00, 90.00, 120.00 degrees
Fractional coordinates of all 24 atoms:
Dy: 0.1480 0.7886 0.0000
Dy: 0.2114 0.3594 0.0000
Dy: 0.3594 0.1480 0.5000
Dy: 0.6406 0.8520 0.0000
Dy: 0.7886 0.6406 0.5000
Dy: 0.8520 0.2114 0.5000
Cu: 0.0000 0.0000 0.3826
Cu: 0.0000 0.0000 0.8826
Sn: 0.3333 0.6667 0.5642
Sn: 0.6667 0.3333 0.0642
S: 0.0824 0.5179 0.7472
S: 0.1139 0.8520 0.4188
S: 0.1480 0.2619 0.4188
S: 0.2619 0.1139 0.9188
S: 0.3333 0.6667 0.1803
S: 0.4355 0.9176 0.7472
S: 0.4821 0.5645 0.7472
S: 0.5179 0.4355 0.2472
S: 0.5645 0.0824 0.2472
S: 0.6667 0.3333 0.6803
S: 0.7381 0.8861 0.4188
S: 0.8520 0.7381 0.9188
S: 0.8861 0.1480 0.9188
S: 0.9176 0.4821 0.2472

8.
Simulated powder diffraction line list of DyCuSb2 for Cu Kα (λ = 1.5418 Å), from a cell relaxed with PBE.
Peak positions follow from Bragg's law for the DFT cell and can differ from measured ones.

Peak list (10 most intense, 10 to 80 degrees two-theta, by angle)
2θ (°)  Rel. int.
27.4  21
30.7  16
34.4  16
34.5  56
34.7  100
34.7  45
36.8  18
41.8  74
51.2  14
71.7  22

Atomic structure:
Cell lengths 4.3184, 4.3234, 9.7744 Å; angles 89.84, 89.58, 89.85 degrees
Fractional coordinates of all 8 atoms:
Dy: 0.0000 0.0000 0.0000
Dy: 0.4978 0.4973 0.4995
Cu: 0.0074 0.4943 0.7500
Cu: 0.4881 0.0026 0.7495
Sb: 0.0001 0.4987 0.2497
Sb: 0.4998 0.9987 0.2497
Sb: 0.5039 0.5010 0.9112
Sb: 0.9936 0.9964 0.5883

9.
Simulated powder diffraction line list of DyCuSb2 for Cu Kα (λ = 1.5418 Å), from a cell relaxed with PBE.
Peak positions follow from Bragg's law for the DFT cell and can differ from measured ones.

Peak list (10 most intense, 10 to 80 degrees two-theta, by angle)
2θ (°)  Rel. int.
27.5  14
30.7  11
34.4  18
34.6  100
41.8  40
51.1  15
56.8  11
60.6  13
68.1  13
71.7  23

Atomic structure:
Cell lengths 4.3205, 4.3205, 9.8085 Å; angles 90.00, 90.00, 90.00 degrees
Fractional coordinates of all 8 atoms:
Dy: 0.2500 0.2500 0.2491
Dy: 0.7500 0.7500 0.7509
Cu: 0.2500 0.7500 0.5000
Cu: 0.7500 0.2500 0.5000
Sb: 0.2500 0.2500 0.6615
Sb: 0.2500 0.7500 0.0000
Sb: 0.7500 0.2500 0.0000
Sb: 0.7500 0.7500 0.3385

10.
Simulated powder diffraction line list of Dy3Cu3Sb4 for Cu Kα (λ = 1.5418 Å), from a cell relaxed with PBE.
Peak positions follow from Bragg's law for the DFT cell and can differ from measured ones.

Peak list (10 most intense, 10 to 80 degrees two-theta, by angle)
2θ (°)  Rel. int.
29.5  55
35.0  100
42.2  36
44.3  12
46.4  16
48.4  10
59.5  19
61.2  13
62.8  9
72.5  15

Atomic structure:
Cell lengths 8.2990, 8.2990, 8.2990 Å; angles 109.47, 109.47, 109.47 degrees
Fractional coordinates of all 20 atoms:
Dy: 0.1250 0.8750 0.2500
Dy: 0.2500 0.1250 0.8750
Dy: 0.3750 0.6250 0.7500
Dy: 0.6250 0.7500 0.3750
Dy: 0.7500 0.3750 0.6250
Dy: 0.8750 0.2500 0.1250
Cu: 0.1250 0.7500 0.8750
Cu: 0.2500 0.6250 0.3750
Cu: 0.3750 0.2500 0.6250
Cu: 0.6250 0.3750 0.2500
Cu: 0.7500 0.8750 0.1250
Cu: 0.8750 0.1250 0.7500
Sb: 0.0000 0.1598 0.5000
Sb: 0.0000 0.6598 0.5000
Sb: 0.1598 0.5000 0.0000
Sb: 0.3402 0.3402 0.3402
Sb: 0.5000 0.0000 0.1598
Sb: 0.5000 0.0000 0.6598
Sb: 0.6598 0.5000 0.0000
Sb: 0.8402 0.8402 0.8402

11.
Simulated powder diffraction line list of Dy3CuSe6 for Cu Kα (λ = 1.5418 Å), from a cell relaxed with PBE.
Peak positions follow from Bragg's law for the DFT cell and can differ from measured ones.

Peak list (10 most intense, 10 to 80 degrees two-theta, by angle)
2θ (°)  Rel. int.
23.1  100
31.9  25
34.3  50
35.9  50
37.0  81
37.9  34
39.3  67
40.6  42
43.1  74
49.3  29

Atomic structure:
Cell lengths 7.7486, 7.0906, 17.0812 Å; angles 90.00, 90.00, 90.00 degrees
Fractional coordinates of all 40 atoms:
Dy: 0.0551 0.2275 0.0000
Dy: 0.0592 0.2651 0.6648
Dy: 0.0608 0.2447 0.3205
Dy: 0.4392 0.2447 0.8205
Dy: 0.4408 0.2651 0.1648
Dy: 0.4449 0.2275 0.5000
Dy: 0.5551 0.7725 0.0000
Dy: 0.5592 0.7349 0.6648
Dy: 0.5608 0.7553 0.3205
Dy: 0.9392 0.7553 0.8205
Dy: 0.9408 0.7349 0.1648
Dy: 0.9449 0.7725 0.5000
Cu: 0.2071 0.6034 0.9356
Cu: 0.2929 0.6034 0.4356
Cu: 0.7071 0.3966 0.9356
Cu: 0.7929 0.3966 0.4356
Se: 0.0915 0.3872 0.4960
Se: 0.0934 0.3835 0.8315
Se: 0.0986 0.3817 0.1605
Se: 0.2470 0.9253 0.7351
Se: 0.2501 0.9238 0.0914
Se: 0.2499 0.9238 0.5914
Se: 0.2504 0.9361 0.4111
Se: 0.2496 0.9361 0.9111
Se: 0.2530 0.9253 0.2351
Se: 0.4014 0.3817 0.6605
Se: 0.4066 0.3835 0.3315
Se: 0.4085 0.3872 0.9960
Se: 0.5915 0.6128 0.4960
Se: 0.5934 0.6165 0.8315
Se: 0.5986 0.6183 0.1605
Se: 0.7470 0.0747 0.7351
Se: 0.7504 0.0639 0.4111
Se: 0.7496 0.0639 0.9111
Se: 0.7501 0.0762 0.0914
Se: 0.7499 0.0762 0.5914
Se: 0.7530 0.0747 0.2351
Se: 0.9014 0.6183 0.6605
Se: 0.9066 0.6165 0.3315
Se: 0.9085 0.6128 0.9960

12.
Simulated powder diffraction line list of DyCuSe2 for Cu Kα (λ = 1.5418 Å), from a cell relaxed with PBE.
Peak positions follow from Bragg's law for the DFT cell and can differ from measured ones.

Peak list (10 most intense, 10 to 80 degrees two-theta, by angle)
2θ (°)  Rel. int.
13.8  26
28.7  100
37.8  64
44.2  51
49.8  22
53.6  17
59.5  17
62.8  13
71.9  14
77.1  16

Atomic structure:
Cell lengths 4.0984, 4.0984, 6.4145 Å; angles 90.00, 90.00, 120.00 degrees
Fractional coordinates of all 4 atoms:
Dy: 0.0000 0.0000 0.0000
Cu: 0.6667 0.3333 0.6220
Se: 0.3333 0.6667 0.7242
Se: 0.6667 0.3333 0.2375

> What is the formula in the fourth record?

DyCuS2

Please write out number 10 again, unchanged.
Simulated powder diffraction line list of Dy3Cu3Sb4 for Cu Kα (λ = 1.5418 Å), from a cell relaxed with PBE.
Peak positions follow from Bragg's law for the DFT cell and can differ from measured ones.

Peak list (10 most intense, 10 to 80 degrees two-theta, by angle)
2θ (°)  Rel. int.
29.5  55
35.0  100
42.2  36
44.3  12
46.4  16
48.4  10
59.5  19
61.2  13
62.8  9
72.5  15

Atomic structure:
Cell lengths 8.2990, 8.2990, 8.2990 Å; angles 109.47, 109.47, 109.47 degrees
Fractional coordinates of all 20 atoms:
Dy: 0.1250 0.8750 0.2500
Dy: 0.2500 0.1250 0.8750
Dy: 0.3750 0.6250 0.7500
Dy: 0.6250 0.7500 0.3750
Dy: 0.7500 0.3750 0.6250
Dy: 0.8750 0.2500 0.1250
Cu: 0.1250 0.7500 0.8750
Cu: 0.2500 0.6250 0.3750
Cu: 0.3750 0.2500 0.6250
Cu: 0.6250 0.3750 0.2500
Cu: 0.7500 0.8750 0.1250
Cu: 0.8750 0.1250 0.7500
Sb: 0.0000 0.1598 0.5000
Sb: 0.0000 0.6598 0.5000
Sb: 0.1598 0.5000 0.0000
Sb: 0.3402 0.3402 0.3402
Sb: 0.5000 0.0000 0.1598
Sb: 0.5000 0.0000 0.6598
Sb: 0.6598 0.5000 0.0000
Sb: 0.8402 0.8402 0.8402